1.
Ba2TlZn: simulated powder XRD pattern (Cu Kα), based on DFT lattice parameters and positions (PBE).

Most intense lines, 5 to 70 degrees two-theta, sorted by position:
d (Å), I (rel.)
4.877, 123
2.987, 1000
2.547, 74
2.112, 188
1.938, 34
1.724, 399
1.626, 27
1.493, 124
1.428, 27

Atomic structure:
abc: 8.4472 8.4472 8.4472
angles: 90.00 90.00 90.00
Sites, in units of the cell vectors:
1 Ba 0.2500 0.2500 0.2500
2 Ba 0.2500 0.2500 0.7500
3 Ba 0.2500 0.7500 0.2500
4 Ba 0.2500 0.7500 0.7500
5 Ba 0.7500 0.2500 0.2500
6 Ba 0.7500 0.2500 0.7500
7 Ba 0.7500 0.7500 0.2500
8 Ba 0.7500 0.7500 0.7500
9 Tl 0.0000 0.0000 0.0000
10 Tl 0.0000 0.5000 0.5000
11 Tl 0.5000 0.0000 0.5000
12 Tl 0.5000 0.5000 0.0000
13 Zn 0.0000 0.0000 0.5000
14 Zn 0.0000 0.5000 0.0000
15 Zn 0.5000 0.0000 0.0000
16 Zn 0.5000 0.5000 0.5000

=====

2.
PbI2: simulated powder XRD pattern (Cu Kα), based on DFT lattice parameters and positions (PBE).

Most intense lines, 5 to 70 degrees two-theta, sorted by position:
d (Å), I (rel.)
7.526, 626
3.561, 1000
2.754, 473
2.334, 545
2.229, 201
2.132, 251
1.952, 188
1.781, 135
1.497, 159
1.465, 253

Atomic structure:
abc: 4.6679 4.6679 37.6290
angles: 90.00 90.00 120.00
Sites, in units of the cell vectors:
1 Pb 0.0000 0.0000 0.0000
2 Pb 0.0000 0.0000 0.2001
3 Pb 0.0000 0.0000 0.4002
4 Pb 0.0000 0.0000 0.6003
5 Pb 0.6667 0.3333 0.8000
6 I 0.0000 0.0000 0.7503
7 I 0.3333 0.6667 0.0497
8 I 0.3333 0.6667 0.2497
9 I 0.3333 0.6667 0.4498
10 I 0.3333 0.6667 0.6499
11 I 0.3333 0.6667 0.8495
12 I 0.6667 0.3333 0.1505
13 I 0.6667 0.3333 0.3505
14 I 0.6667 0.3333 0.5507
15 I 0.6667 0.3333 0.9504

=====

3.
YGa2Ni3: simulated powder XRD pattern (Cu Kα), based on DFT lattice parameters and positions (PBE).

Most intense lines, 5 to 70 degrees two-theta, sorted by position:
d (Å), I (rel.)
2.755, 350
2.607, 302
2.352, 573
2.258, 565
2.164, 1000
1.952, 733
1.941, 446
1.795, 126
1.472, 280
1.451, 183

Atomic structure:
abc: 9.0322 9.0322 3.8812
angles: 90.00 90.00 120.00
Sites, in units of the cell vectors:
1 Y 0.0000 0.0000 0.0000
2 Y 0.3333 0.6667 0.0000
3 Y 0.6667 0.3333 0.5000
4 Ga 0.0370 0.5185 0.5000
5 Ga 0.1579 0.3158 0.5000
6 Ga 0.1579 0.8421 0.5000
7 Ga 0.4815 0.5185 0.5000
8 Ga 0.4815 0.9630 0.5000
9 Ga 0.6842 0.8421 0.5000
10 Ni 0.2985 0.1492 0.5000
11 Ni 0.3631 0.0332 0.0000
12 Ni 0.3631 0.3299 0.0000
13 Ni 0.6701 0.0332 0.0000
14 Ni 0.6701 0.6369 0.0000
15 Ni 0.8508 0.1492 0.5000
16 Ni 0.8508 0.7015 0.5000
17 Ni 0.9668 0.3299 0.0000
18 Ni 0.9668 0.6369 0.0000

=====

4.
HfO3F4: simulated powder XRD pattern (Cu Kα), based on DFT lattice parameters and positions (PBE).

Most intense lines, 5 to 70 degrees two-theta, sorted by position:
d (Å), I (rel.)
6.357, 1000
6.061, 190
4.327, 118
3.733, 120
3.553, 89
3.330, 115
3.178, 240
2.753, 68
2.721, 110
2.438, 88

Atomic structure:
abc: 6.5996 12.1214 8.3795
angles: 90.00 117.01 90.00
Sites, in units of the cell vectors:
1 Hf 0.2503 0.0476 0.0037
2 Hf 0.2503 0.4524 0.5037
3 Hf 0.7497 0.5476 0.4963
4 Hf 0.7497 0.9524 0.9963
5 O 0.2860 0.2479 0.0043
6 O 0.2860 0.2521 0.5043
7 O 0.3438 0.7490 0.3091
8 O 0.3438 0.7510 0.8091
9 O 0.4773 0.1972 0.5985
10 O 0.4773 0.3028 0.0985
11 O 0.5227 0.6972 0.9015
12 O 0.5227 0.8028 0.4015
13 O 0.6562 0.2490 0.1909
14 O 0.6562 0.2510 0.6909
15 O 0.7140 0.7479 0.4957
16 O 0.7140 0.7521 0.9957
17 F 0.0510 0.5906 0.4734
18 F 0.0510 0.9094 0.9734
19 F 0.0736 0.0941 0.7590
20 F 0.0736 0.4059 0.2590
21 F 0.3964 0.0877 0.2541
22 F 0.3964 0.4123 0.7541
23 F 0.4710 0.5855 0.5523
24 F 0.4710 0.9145 0.0523
25 F 0.5290 0.0855 0.9477
26 F 0.5290 0.4145 0.4477
27 F 0.6036 0.5877 0.2459
28 F 0.6036 0.9123 0.7459
29 F 0.9264 0.5941 0.7410
30 F 0.9264 0.9059 0.2410
31 F 0.9490 0.0906 0.0266
32 F 0.9490 0.4094 0.5266

=====

5.
La2UO6: simulated powder XRD pattern (Cu Kα), based on DFT lattice parameters and positions (PBE).

Most intense lines, 5 to 70 degrees two-theta, sorted by position:
d (Å), I (rel.)
3.242, 1000
3.166, 931
2.799, 217
2.762, 419
1.988, 178
1.966, 671
1.920, 151
1.684, 302
1.678, 152
1.652, 283

Atomic structure:
abc: 6.7051 6.7051 6.7051
angles: 145.50 130.65 61.60
Sites, in units of the cell vectors:
1 La 0.1636 0.1636 0.0000
2 La 0.8364 0.8364 0.0000
3 U 0.5000 0.5000 0.0000
4 O 0.1182 0.3509 0.7672
5 O 0.2784 0.0000 0.2784
6 O 0.4163 0.6491 0.7672
7 O 0.5837 0.3509 0.2328
8 O 0.7216 0.0000 0.7216
9 O 0.8818 0.6491 0.2328